Structure and calculated powder XRD pattern of Sm4HoMg3 (a structure optimized by DFT (GGA-PBE); λ = 1.5418 Å (Cu Kα)).
Peak positions follow from Bragg's law for the DFT cell and can differ from measured ones.

Atomic structure:
```
data_Sm4HoMg3
_cell_length_a 3.830
_cell_length_b 5.536
_cell_length_c 11.156
_cell_angle_alpha 90.00
_cell_angle_beta 90.00
_cell_angle_gamma 90.00
_symmetry_space_group_name_H-M 'P m m m'
_symmetry_Int_Tables_number 47
_symmetry_space_group_name_Hall '-P 2 2'
loop_
_atom_site_label
_atom_site_type_symbol
_atom_site_fract_x
_atom_site_fract_y
_atom_site_fract_z
Sm1 Sm 0.000 0.000 0.000
Sm2 Sm 0.000 0.000 0.500
Sm3 Sm 0.000 0.500 0.240
Ho1 Ho 0.500 0.500 0.500
Mg1 Mg 0.500 0.000 0.249
Mg2 Mg 0.500 0.500 0.000
```

Principal peaks in the range 10 to 90 degrees two-theta, by angle:
- 2θ 22.63, intensity 23, (0 1 2)
- 2θ 23.23, intensity 11, (1 0 0)
- 2θ 32.09, intensity 26, (0 0 4)
- 2θ 32.34, intensity 26, (0 2 0)
- 2θ 32.65, intensity 100, (1 1 2)
- 2θ 46.20, intensity 19, (0 2 4)
- 2θ 57.56, intensity 19, (1 1 6)
- 2θ 57.88, intensity 20, (1 3 2)
- 2θ 68.41, intensity 11, (2 2 4)
- 2θ 76.92, intensity 12, (0 4 4)